The following is a computed XRD peak list of CePu2GeC. It was derived from a cell relaxed with PBE, using Cu Kα X-rays.
Lines closer than 0.1° are merged.

Structure:
```
data_CePu2GeC
_chemical_formula_sum 'Ce4 Pu8 Ge4 C4'
_cell_length_a 3.5530
_cell_length_b 11.6214
_cell_length_c 9.5627
_cell_angle_alpha 90.00
_cell_angle_beta 90.00
_cell_angle_gamma 90.00
_space_group_name_H-M_alt 'C m c m'
_space_group_IT_number 63
_space_group_name_Hall '-C 2c 2'
loop_
_atom_site_label
_atom_site_type_symbol
_atom_site_fract_x
_atom_site_fract_y
_atom_site_fract_z
Ce1 Ce 0.0000 0.0283 0.2500
Pu1 Pu 0.0000 0.3138 0.0283
Ge1 Ge 0.0000 0.2506 0.7500
C1 C 0.0000 0.5000 0.0000
```

Main lines, by intensity (2θ = 10–90°):
Position (°2θ)	d (Å)	I_rel	index
34.25	2.618	100	1 3 0
24.10	3.692	98	0 2 2
32.32	2.770	79	1 1 2
15.25	5.811	75	0 2 0
50.67	1.802	55	1 5 2
37.62	2.391	44	0 0 4
51.78	1.766	42	1 3 4
18.56	4.781	40	0 0 2